Structure and calculated powder X-ray diffraction pattern of MgSb2O4 (a cell relaxed with GGA-PBE; Cu Kα (λ = 1.5418 Å)).
Peak positions follow from Bragg's law for the DFT cell and can differ from measured ones.

Atomic structure:
Lattice parameters (Å, degrees): 9.5320 3.0842 13.6366 90.00 90.00 90.00
Space group Pnma (No. 62)
Unique sites:
Mg1 0.2091 0.2500 0.1515 (multiplicity 4)
Sb1 0.0425 0.2500 0.3511 (multiplicity 4)
Sb2 0.1006 0.2500 0.8966 (multiplicity 4)
O1 0.0537 0.7500 0.8006 (multiplicity 4)
O2 0.1029 0.7500 0.0660 (multiplicity 4)
O3 0.1178 0.2500 0.6364 (multiplicity 4)
O4 0.1586 0.7500 0.2694 (multiplicity 4)

Most intense lines, 10° ≤ 2θ ≤ 80°, sorted by position:
h k l, Position (°2θ), intensity
1 0 2, 15.98, 33
2 0 0, 18.62, 53
1 0 3, 21.66, 23
0 0 4, 26.14, 67
3 0 2, 31.05, 66
1 1 2, 33.24, 100
2 1 0, 34.64, 35
2 1 4, 43.91, 47
4 1 1, 48.75, 21
1 1 6, 50.82, 19

Structure and calculated powder X-ray diffraction pattern of K3AlF6 (a cell relaxed with GGA-PBE; Cu Kα (λ = 1.5418 Å)).
Peak positions follow from Bragg's law for the DFT cell and can differ from measured ones.

Atomic structure:
Lattice parameters (Å, degrees): 13.5459 13.5459 8.7355 90.00 90.00 90.00
Space group I4/m (No. 87)
Unique sites:
K1 0.0000 0.0000 0.0000 (multiplicity 2)
K2 0.0000 0.5000 0.2500 (multiplicity 4)
K3 0.0860 0.7317 0.5000 (multiplicity 8)
K4 0.1067 0.2110 0.2272 (multiplicity 16)
Al1 0.0000 0.0000 0.5000 (multiplicity 2)
Al2 0.0937 0.6988 0.0000 (multiplicity 8)
F1 0.0000 0.0000 0.2913 (multiplicity 4)
F2 0.0362 0.3438 0.0000 (multiplicity 8)
F3 0.0499 0.8262 0.0000 (multiplicity 8)
F4 0.0655 0.1207 0.5000 (multiplicity 8)
F5 0.0726 0.3640 0.5000 (multiplicity 8)
F6 0.0941 0.7016 0.2117 (multiplicity 16)
F7 0.2228 0.7454 0.0000 (multiplicity 8)

Most intense lines, 10° ≤ 2θ ≤ 80°, sorted by position:
h k l, Position (°2θ), intensity
3 1 2, 29.20, 100
2 4 0, 29.49, 69
2 4 2, 36.09, 56
0 0 4, 41.34, 47
6 2 0, 42.19, 66
5 0 3, 45.74, 16
2 4 4, 51.61, 19
5 5 2, 52.14, 24
6 2 4, 60.55, 29
4 8 0, 61.20, 17

Number 1 is which compound?
MgSb2O4